1.
Structure and theoretical XRD peak list of Sm4DyTl7 (the PBE geometry in Alexandria; Cu Kα X-rays).
Peak positions follow from Bragg's law for the DFT cell and can differ from measured ones.

Crystal structure
```
Sm4DyTl7
1.0
6.7910 -2.8487 0.0000
6.7910 2.8487 0.0000
-6.3831 0.0000 9.7062
Sm Dy Tl
4 1 7
Direct
0.0870 0.0870 0.2825
0.2243 0.2243 0.8294
0.7757 0.7757 0.1706
0.9130 0.9130 0.7175
0.5000 0.5000 0.5000
0.0000 0.0000 0.5000
0.1311 0.1311 0.0381
0.2840 0.2840 0.6002
0.4175 0.4175 0.1796
0.5825 0.5825 0.8204
0.7160 0.7160 0.3998
0.8689 0.8689 0.9619
```

Top 12 peaks for 10 to 90 degrees two-theta, low angle first:
2θ/deg	d_spacing	intensity
21.97	4.046	30
27.50	3.244	33
28.23	3.161	39
31.12	2.874	56
31.40	2.849	93
33.68	2.661	100
36.89	2.437	38
37.16	2.420	62
42.73	2.116	24
44.80	2.023	42
56.76	1.622	25
66.32	1.409	38

---

2.
Structure and theoretical XRD peak list of Nd3ScIn4 (the PBE geometry in Alexandria; Cu Kα X-rays).
Peak positions follow from Bragg's law for the DFT cell and can differ from measured ones.

Crystal structure
```
Nd3ScIn4
1.0
3.7470 0.0000 0.0000
0.0000 3.7470 0.0000
0.0000 0.0000 15.6318
Nd Sc In
3 1 4
Direct
0.0000 0.0000 0.0000
0.0000 0.0000 0.2625
0.0000 0.0000 0.7375
0.0000 0.0000 0.5000
0.5000 0.5000 0.1315
0.5000 0.5000 0.3951
0.5000 0.5000 0.6049
0.5000 0.5000 0.8685
```

Top 12 peaks for 10 to 90 degrees two-theta, low angle first:
2θ/deg	d_spacing	intensity
29.36	3.042	11
33.12	2.705	100
33.83	2.650	52
46.47	1.954	7
48.60	1.874	19
53.68	1.708	7
58.71	1.573	14
60.07	1.540	35
69.51	1.352	8
70.93	1.329	6
80.78	1.190	7
81.18	1.185	8